1.
Diffraction record for Tb3Er. The XRD peak list is computed, not measured: it uses a structure optimized by DFT (PBE) and Cu Ka.

Atomic structure:
```
Tb3Er
1.0
5.0123 0.0000 0.0000
0.0000 5.0123 0.0000
0.0000 0.0000 5.0123
Tb Er
3 1
direct
0.0000 0.0000 0.5000
0.0000 0.5000 0.0000
0.5000 0.0000 0.0000
0.5000 0.5000 0.5000
```

Principal peaks in the range 2θ = 10–90°, in order of rising 2θ:
30.90 deg, I 100; 35.83 deg, I 51; 51.57 deg, I 36; 61.34 deg, I 43; 64.39 deg, I 12; 75.94 deg, I 6; 84.20 deg, I 18; 86.92 deg, I 17

---

2.
Diffraction record for Tb3Er. The XRD peak list is computed, not measured: it uses a structure optimized by DFT (PBE) and Cu Ka.

Atomic structure:
```
Tb3Er
1.0
-2.5079 2.5079 5.0354
2.5079 -2.5079 5.0354
2.5079 2.5079 -5.0354
Tb Er
3 1
direct
0.0000 0.0000 0.0000
0.2500 0.7500 0.5000
0.7500 0.2500 0.5000
0.5000 0.5000 0.0000
```

Principal peaks in the range 2θ = 10–90°, in order of rising 2θ:
30.84 deg, I 100; 35.66 deg, I 17; 35.80 deg, I 34; 51.43 deg, I 24; 51.54 deg, I 12; 61.08 deg, I 14; 61.27 deg, I 28; 64.25 deg, I 12; 83.94 deg, I 12; 86.80 deg, I 11

---

3.
Diffraction record for TbErTe2. The XRD peak list is computed, not measured: it uses a structure optimized by DFT (PBE) and Cu Ka.

Atomic structure:
```
TbErTe2
1.0
4.3386 0.0000 0.0000
0.0000 4.3386 0.0000
0.0000 0.0000 6.1646
Tb Er Te
1 1 2
direct
0.0000 0.0000 0.0000
0.5000 0.5000 0.5000
0.0000 0.0000 0.5000
0.5000 0.5000 0.0000
```

Principal peaks in the range 2θ = 10–90°, in order of rising 2θ:
28.97 deg, I 51; 29.11 deg, I 100; 41.53 deg, I 76; 41.63 deg, I 38; 51.52 deg, I 41; 60.34 deg, I 13; 68.08 deg, I 18; 68.34 deg, I 35; 75.70 deg, I 13; 75.91 deg, I 26

---

4.
Diffraction record for ErTc2W. The XRD peak list is computed, not measured: it uses a structure optimized by DFT (PBE) and Cu Ka.

Atomic structure:
```
ErTc2W
1.0
0.0000 3.2394 3.2394
3.2394 0.0000 3.2394
3.2394 3.2394 0.0000
Er Tc W
1 2 1
direct
0.0000 0.0000 0.0000
0.2500 0.2500 0.2500
0.7500 0.7500 0.7500
0.5000 0.5000 0.5000
```

Principal peaks in the range 2θ = 10–90°, in order of rising 2θ:
27.54 deg, I 9; 39.34 deg, I 100; 48.69 deg, I 3; 56.84 deg, I 17; 64.30 deg, I 4; 71.32 deg, I 34; 84.62 deg, I 11

---

5.
Diffraction record for ErTe. The XRD peak list is computed, not measured: it uses a structure optimized by DFT (PBE) and Cu Ka.

Atomic structure:
```
ErTe
1.0
0.0000 3.0545 3.0545
3.0545 0.0000 3.0545
3.0545 3.0545 0.0000
Er Te
1 1
direct
0.0000 0.0000 0.0000
0.5000 0.5000 0.5000
```

Principal peaks in the range 2θ = 10–90°, in order of rising 2θ:
25.25 deg, I 4; 29.24 deg, I 100; 41.82 deg, I 76; 49.49 deg, I 2; 51.84 deg, I 27; 60.63 deg, I 13; 66.74 deg, I 1; 68.72 deg, I 35; 76.37 deg, I 26; 81.95 deg, I 1

---

6.
Diffraction record for ErTlTe2. The XRD peak list is computed, not measured: it uses a structure optimized by DFT (PBE) and Cu Ka.

Atomic structure:
```
ErTlTe2
1.0
2.2200 1.2817 8.1941
-2.2200 1.2817 8.1941
0.0000 -2.5634 8.1941
Er Tl Te
1 1 2
direct
0.0000 0.0000 0.0000
0.5000 0.5000 0.5000
0.2634 0.2634 0.2634
0.7366 0.7366 0.7366
```

Principal peaks in the range 2θ = 10–90°, in order of rising 2θ:
27.36 deg, I 100; 37.47 deg, I 38; 40.64 deg, I 36; 44.21 deg, I 6; 49.69 deg, I 20; 56.46 deg, I 12; 61.60 deg, I 14; 66.06 deg, I 17; 71.86 deg, I 11; 73.95 deg, I 6